1.
This entry pairs a crystal structure of Pr2Sm5Sc2 with its calculated X-ray powder pattern. Radiation: CuKα. Structure: a DFT-relaxed cell (PBE, Alexandria).
Lines closer than 0.1° are merged.

Largest 6 diffraction maxima, most intense first, 2θ = 5–70°:
2.911 Å, 2θ = 30.72°, rel. 100.0
2.518 Å, 2θ = 35.65°, rel. 33.5
1.519 Å, 2θ = 61.00°, rel. 27.7
1.784 Å, 2θ = 51.20°, rel. 17.8
1.781 Å, 2θ = 51.30°, rel. 17.6
2.526 Å, 2θ = 35.54°, rel. 16.9

Cell and atoms:
Unit cell a=7.962 b=7.962 c=7.990 alpha=107.52 beta=107.52 gamma=36.88
Atoms (fractional coordinates):
Pr  0.108  0.108  0.164
Pr  0.892  0.892  0.836
Sm  0.000  0.000  0.500
Sm  0.220  0.220  0.835
Sm  0.335  0.335  0.497
Sm  0.665  0.665  0.503
Sm  0.780  0.780  0.165
Sc  0.444  0.444  0.162
Sc  0.556  0.556  0.838

***

2.
This entry pairs a crystal structure of Cs15KO6 with its calculated X-ray powder pattern. Radiation: CuKα. Structure: a DFT-relaxed cell (PBE, Alexandria).
Lines closer than 0.1° are merged.

Largest 6 diffraction maxima, most intense first, 2θ = 5–70°:
3.724 Å, 2θ = 23.89°, rel. 100.0
3.225 Å, 2θ = 27.66°, rel. 60.5
2.281 Å, 2θ = 39.51°, rel. 32.3
1.945 Å, 2θ = 46.70°, rel. 22.1
5.267 Å, 2θ = 16.83°, rel. 21.7
2.530 Å, 2θ = 35.48°, rel. 18.6

Cell and atoms:
Unit cell a=11.172 b=11.172 c=11.172 alpha=109.47 beta=109.47 gamma=109.47
Atoms (fractional coordinates):
Cs  0.000  0.218  0.782
Cs  0.000  0.500  0.500
Cs  0.000  0.782  0.218
Cs  0.218  0.000  0.782
Cs  0.218  0.218  0.436
Cs  0.218  0.436  0.218
Cs  0.218  0.782  0.000
Cs  0.436  0.218  0.218
Cs  0.500  0.000  0.500
Cs  0.500  0.500  0.000
Cs  0.564  0.782  0.782
Cs  0.782  0.000  0.218
Cs  0.782  0.218  0.000
Cs  0.782  0.564  0.782
Cs  0.782  0.782  0.564
K  0.000  0.000  0.000
O  0.000  0.243  0.243
O  0.000  0.757  0.757
O  0.243  0.000  0.243
O  0.243  0.243  0.000
O  0.757  0.000  0.757
O  0.757  0.757  0.000

***

3.
This entry pairs a crystal structure of MnOs2W with its calculated X-ray powder pattern. Radiation: CuKα. Structure: a DFT-relaxed cell (PBE, Alexandria).
Lines closer than 0.1° are merged.

Largest 6 diffraction maxima, most intense first, 2θ = 5–70°:
2.220 Å, 2θ = 40.64°, rel. 100.0
1.917 Å, 2θ = 47.43°, rel. 32.2
1.361 Å, 2θ = 68.98°, rel. 21.0
1.934 Å, 2θ = 46.98°, rel. 16.5
3.435 Å, 2θ = 25.94°, rel. 14.5
1.355 Å, 2θ = 69.33°, rel. 10.4

Cell and atoms:
Unit cell a=4.723 b=4.723 c=4.723 alpha=132.12 beta=132.12 gamma=70.05
Atoms (fractional coordinates):
Mn  0.000  0.000  0.000
Os  0.250  0.750  0.500
Os  0.500  0.500  0.000
W  0.750  0.250  0.500

***

4.
This entry pairs a crystal structure of BeAl2B with its calculated X-ray powder pattern. Radiation: CuKα. Structure: a DFT-relaxed cell (PBE, Alexandria).
Lines closer than 0.1° are merged.

Largest 6 diffraction maxima, most intense first, 2θ = 5–70°:
10.679 Å, 2θ = 8.28°, rel. 100.0
1.827 Å, 2θ = 49.91°, rel. 69.3
2.666 Å, 2θ = 33.62°, rel. 66.9
2.833 Å, 2θ = 31.58°, rel. 64.8
2.136 Å, 2θ = 42.32°, rel. 55.1
2.916 Å, 2θ = 30.66°, rel. 54.4

Cell and atoms:
Unit cell a=3.414 b=5.416 c=10.719 alpha=85.42 beta=87.99 gamma=87.70
Atoms (fractional coordinates):
Be  0.132  0.332  0.049
Be  0.257  0.914  0.058
Be  0.743  0.086  0.942
Be  0.868  0.668  0.951
Al  0.203  0.384  0.826
Al  0.235  0.893  0.789
Al  0.257  0.520  0.396
Al  0.264  0.021  0.407
Al  0.736  0.979  0.593
Al  0.743  0.480  0.604
Al  0.765  0.107  0.211
Al  0.797  0.616  0.174
B  0.244  0.737  0.575
B  0.282  0.824  0.240
B  0.718  0.176  0.760
B  0.756  0.263  0.425

***

5.
This entry pairs a crystal structure of La4Nd10Er with its calculated X-ray powder pattern. Radiation: CuKα. Structure: a DFT-relaxed cell (PBE, Alexandria).
Lines closer than 0.1° are merged.

Largest 6 diffraction maxima, most intense first, 2θ = 5–70°:
2.920 Å, 2θ = 30.62°, rel. 100.0
2.875 Å, 2θ = 31.11°, rel. 95.7
3.003 Å, 2θ = 29.75°, rel. 49.4
2.269 Å, 2θ = 39.73°, rel. 47.9
3.303 Å, 2θ = 26.99°, rel. 43.4
2.715 Å, 2θ = 32.99°, rel. 42.0

Cell and atoms:
Unit cell a=9.178 b=9.178 c=9.178 alpha=100.98 beta=100.98 gamma=128.25
Atoms (fractional coordinates):
La  0.227  0.227  0.454
La  0.227  0.773  0.000
La  0.773  0.227  0.000
La  0.773  0.773  0.546
Nd  0.079  0.289  0.790
Nd  0.250  0.750  0.500
Nd  0.289  0.079  0.790
Nd  0.289  0.499  0.210
Nd  0.499  0.289  0.210
Nd  0.501  0.711  0.790
Nd  0.711  0.501  0.790
Nd  0.711  0.921  0.210
Nd  0.750  0.250  0.500
Nd  0.921  0.711  0.210
Er  0.000  0.000  0.000

***

6.
This entry pairs a crystal structure of Na2SrAlSn2 with its calculated X-ray powder pattern. Radiation: CuKα. Structure: a DFT-relaxed cell (PBE, Alexandria).
Lines closer than 0.1° are merged.

Largest 6 diffraction maxima, most intense first, 2θ = 5–70°:
2.918 Å, 2θ = 30.64°, rel. 100.0
3.737 Å, 2θ = 23.81°, rel. 70.9
3.973 Å, 2θ = 22.38°, rel. 57.1
2.561 Å, 2θ = 35.04°, rel. 53.2
3.047 Å, 2θ = 29.31°, rel. 46.1
9.122 Å, 2θ = 9.70°, rel. 45.2

Cell and atoms:
Unit cell a=4.752 b=9.122 c=8.088 alpha=90.00 beta=90.00 gamma=90.00
Atoms (fractional coordinates):
Na  0.000  0.075  0.000
Na  0.000  0.925  0.500
Na  0.500  0.157  0.315
Na  0.500  0.843  0.815
Sr  0.500  0.443  0.980
Sr  0.500  0.557  0.480
Al  0.000  0.329  0.632
Al  0.000  0.671  0.132
Sn  0.000  0.376  0.271
Sn  0.000  0.624  0.771
Sn  0.500  0.168  0.700
Sn  0.500  0.832  0.200

***

What did the second record say?
This entry pairs a crystal structure of Cs15KO6 with its calculated X-ray powder pattern. Radiation: CuKα. Structure: a DFT-relaxed cell (PBE, Alexandria).
Lines closer than 0.1° are merged.

Largest 6 diffraction maxima, most intense first, 2θ = 5–70°:
3.724 Å, 2θ = 23.89°, rel. 100.0
3.225 Å, 2θ = 27.66°, rel. 60.5
2.281 Å, 2θ = 39.51°, rel. 32.3
1.945 Å, 2θ = 46.70°, rel. 22.1
5.267 Å, 2θ = 16.83°, rel. 21.7
2.530 Å, 2θ = 35.48°, rel. 18.6

Cell and atoms:
Unit cell a=11.172 b=11.172 c=11.172 alpha=109.47 beta=109.47 gamma=109.47
Atoms (fractional coordinates):
Cs  0.000  0.218  0.782
Cs  0.000  0.500  0.500
Cs  0.000  0.782  0.218
Cs  0.218  0.000  0.782
Cs  0.218  0.218  0.436
Cs  0.218  0.436  0.218
Cs  0.218  0.782  0.000
Cs  0.436  0.218  0.218
Cs  0.500  0.000  0.500
Cs  0.500  0.500  0.000
Cs  0.564  0.782  0.782
Cs  0.782  0.000  0.218
Cs  0.782  0.218  0.000
Cs  0.782  0.564  0.782
Cs  0.782  0.782  0.564
K  0.000  0.000  0.000
O  0.000  0.243  0.243
O  0.000  0.757  0.757
O  0.243  0.000  0.243
O  0.243  0.243  0.000
O  0.757  0.000  0.757
O  0.757  0.757  0.000

***

Which formula does entry 4 have? BeAl2B